Record 1
Tl4Cu3F10: theoretical powder XRD pattern (Cu Kα (weighted mean of Kα1 and Kα2)), based on a structure optimized by DFT (GGA-PBE).
Peak positions follow from Bragg's law for the DFT cell and can differ from measured ones.

Main lines, low angle first (15° ≤ 2θ ≤ 90°):
d [Å]  Rel. int.
4.123  20.3
3.845  15.9
3.020  100.0
2.942  57.9
2.336  28.7
2.196  11.5
2.080  33.4
1.760  14.0
1.713  39.5
1.510  13.3

```
Tl4Cu3F10
1.0
-2.0803 2.0803 15.3687
2.0803 -2.0803 15.3687
2.0803 2.0803 -15.3687
Tl Cu F
4 3 10
direct
0.0676 0.0676 0.0000
0.2024 0.2024 0.0000
0.7976 0.7976 0.0000
0.9324 0.9324 0.0000
0.3643 0.3643 0.0000
0.5000 0.5000 0.0000
0.6357 0.6357 0.0000
0.0000 0.5000 0.5000
0.1371 0.6371 0.5000
0.3001 0.3001 0.0000
0.3629 0.8629 0.5000
0.4294 0.4294 0.0000
0.5000 0.0000 0.5000
0.5706 0.5706 0.0000
0.6371 0.1371 0.5000
0.6999 0.6999 0.0000
0.8629 0.3629 0.5000
```



Record 2
AlH2Pd8: theoretical powder XRD pattern (Cu Kα (weighted mean of Kα1 and Kα2)), based on a structure optimized by DFT (GGA-PBE).
Peak positions follow from Bragg's law for the DFT cell and can differ from measured ones.

Main lines, low angle first (15° ≤ 2θ ≤ 90°):
d [Å]  Rel. int.
2.782  50.8
2.357  100.0
2.261  68.0
2.254  63.3
2.208  46.5
2.166  63.3
2.150  62.2
2.110  43.3
1.930  27.6
1.916  28.2

```
AlH2Pd8
1.0
4.7813 0.0000 0.0000
1.5276 4.5412 0.0000
2.1989 1.6452 6.7986
Al H Pd
1 2 8
direct
0.0000 0.0000 0.0000
0.7275 0.4074 0.2719
0.7774 0.8090 0.7405
0.0451 0.5720 0.2831
0.3097 0.3670 0.9299
0.3937 0.9394 0.6991
0.4641 0.5144 0.4940
0.5505 0.0964 0.2713
0.6193 0.6904 0.0447
0.8880 0.4226 0.7105
0.9742 0.0016 0.4931
```



Record 3
V4OsC: theoretical powder XRD pattern (Cu Kα (weighted mean of Kα1 and Kα2)), based on a structure optimized by DFT (GGA-PBE).
Peak positions follow from Bragg's law for the DFT cell and can differ from measured ones.

Main lines, low angle first (15° ≤ 2θ ≤ 90°):
d [Å]  Rel. int.
5.470  96.9
4.028  56.7
3.725  66.8
2.570  41.0
2.373  54.9
2.360  100.0
2.014  33.9
1.993  39.5
1.839  55.4
1.545  32.9

```
V4OsC
1.0
7.4499 0.0000 0.0000
0.0000 8.0562 0.0000
0.0000 0.0000 2.9115
V Os C
8 2 2
direct
0.0000 0.2460 0.0000
0.0000 0.7540 0.0000
0.1788 0.5000 0.5000
0.3212 0.0000 0.5000
0.5000 0.2540 0.0000
0.5000 0.7460 0.0000
0.6788 0.0000 0.5000
0.8212 0.5000 0.5000
0.0000 0.0000 0.5000
0.5000 0.5000 0.5000
0.0000 0.5000 0.0000
0.5000 0.0000 0.0000
```



Record 4
Sr2LiAl3Ag12: theoretical powder XRD pattern (Cu Kα (weighted mean of Kα1 and Kα2)), based on a structure optimized by DFT (GGA-PBE).
Peak positions follow from Bragg's law for the DFT cell and can differ from measured ones.

Main lines, low angle first (15° ≤ 2θ ≤ 90°):
d [Å]  Rel. int.
4.358  10.2
4.160  7.0
3.009  100.0
2.179  48.1
2.080  41.6
1.765  18.7
1.505  14.4
1.371  14.3
1.321  13.5
1.238  13.6

```
Sr2LiAl3Ag12
1.0
4.3580 2.5161 6.6474
-4.3580 2.5161 6.6474
0.0000 -5.0322 6.6474
Sr Li Al Ag
2 1 3 12
direct
0.1171 0.1171 0.1171
0.8829 0.8829 0.8829
0.5000 0.5000 0.5000
0.0000 0.5000 0.5000
0.5000 0.0000 0.5000
0.5000 0.5000 0.0000
0.1375 0.6231 0.6231
0.1420 0.1420 0.6047
0.1420 0.6047 0.1420
0.3769 0.3769 0.8625
0.3769 0.8625 0.3769
0.3953 0.8580 0.8580
0.6047 0.1420 0.1420
0.6231 0.1375 0.6231
0.6231 0.6231 0.1375
0.8580 0.3953 0.8580
0.8580 0.8580 0.3953
0.8625 0.3769 0.3769
```